Record 1
Diffraction record for Li2Hg3Pd7. The PXRD pattern is calculated, not measured: it uses a crystal structure in Alexandria, relaxed with PBE and a wavelength of 1.5418 Å.
Kinematic intensities with the Lorentz-polarization factor, no thermal factor.

Main lines, by intensity (5° ≤ 2θ ≤ 70°):
38.66 deg, I 100
38.79 deg, I 99
24.53 deg, I 79
44.12 deg, I 69
66.25 deg, I 41
46.77 deg, I 29
41.22 deg, I 21
64.02 deg, I 17
51.02 deg, I 12
51.23 deg, I 11

Atomic structure:
Cell: 9.5549 9.1973 4.8448 Å, 79.16 70.98 29.87°
Sites, in units of the cell vectors:
Li 0.1673 0.1673 0.8327
Li 0.8327 0.8327 0.1673
Hg 0.0000 0.0000 0.0000
Hg 0.3327 0.3327 0.6673
Hg 0.6673 0.6673 0.3327
Pd 0.0849 0.0849 0.4151
Pd 0.2500 0.2500 0.2500
Pd 0.4151 0.4151 0.0849
Pd 0.5000 0.5000 0.5000
Pd 0.5849 0.5849 0.9151
Pd 0.7500 0.7500 0.7500
Pd 0.9151 0.9151 0.5849

Record 2
Diffraction record for ScCoSnRh. The PXRD pattern is calculated, not measured: it uses a crystal structure in Alexandria, relaxed with PBE and a wavelength of 1.5418 Å.
Kinematic intensities with the Lorentz-polarization factor, no thermal factor.

Main lines, by intensity (5° ≤ 2θ ≤ 70°):
40.17 deg, I 100
24.28 deg, I 17
58.11 deg, I 17
47.49 deg, I 9
63.90 deg, I 4

Atomic structure:
Cell: 4.4901 4.4901 4.4901 Å, 60.00 60.00 60.00°
Sites, in units of the cell vectors:
Sc 0.0000 0.0000 0.0000
Co 0.2500 0.2500 0.2500
Sn 0.5000 0.5000 0.5000
Rh 0.7500 0.7500 0.7500

Record 3
Diffraction record for TbHo4Er5. The PXRD pattern is calculated, not measured: it uses a crystal structure in Alexandria, relaxed with PBE and a wavelength of 1.5418 Å.
Kinematic intensities with the Lorentz-polarization factor, no thermal factor.

Main lines, by intensity (5° ≤ 2θ ≤ 70°):
32.95 deg, I 100
31.70 deg, I 45
32.65 deg, I 37
29.53 deg, I 25
31.52 deg, I 16
57.27 deg, I 13
33.36 deg, I 12
50.31 deg, I 12
43.67 deg, I 11
60.93 deg, I 10

Atomic structure:
Cell: 3.5176 6.6252 13.9035 Å, 98.21 92.45 104.33°
Sites, in units of the cell vectors:
Tb 0.0000 0.0000 0.0000
Ho 0.1265 0.8134 0.2152
Ho 0.1760 0.7231 0.8057
Ho 0.8240 0.2769 0.1943
Ho 0.8735 0.1866 0.7848
Er 0.2019 0.8792 0.5839
Er 0.4848 0.4244 0.6142
Er 0.5000 0.5000 0.0000
Er 0.5152 0.5756 0.3858
Er 0.7981 0.1208 0.4161

Record 4
Diffraction record for Ba2LaTaO6. The PXRD pattern is calculated, not measured: it uses a crystal structure in Alexandria, relaxed with PBE and a wavelength of 1.5418 Å.
Kinematic intensities with the Lorentz-polarization factor, no thermal factor.

Main lines, by intensity (5° ≤ 2θ ≤ 70°):
29.10 deg, I 100
28.81 deg, I 67
41.35 deg, I 37
28.87 deg, I 34
51.54 deg, I 29
51.37 deg, I 28
41.58 deg, I 17
50.85 deg, I 14
68.05 deg, I 12
60.29 deg, I 11

Atomic structure:
Cell: 6.1290 6.1369 6.1865 Å, 90.33 119.45 119.88°
Sites, in units of the cell vectors:
Ba 0.0069 0.2520 0.2593
Ba 0.9931 0.7480 0.7407
La 0.5000 0.5000 0.0000
Ta 0.5000 0.0000 0.5000
O 0.0426 0.8091 0.3110
O 0.4305 0.7721 0.2044
O 0.4908 0.7295 0.6870
O 0.5092 0.2705 0.3130
O 0.5695 0.2279 0.7956
O 0.9574 0.1909 0.6890